# Cd2BiCl8
Simulated powder diffraction line list, Cu Kα (weighted mean of Kα1 and Kα2). Input: a DFT-relaxed cell (GGA-PBE, Alexandria).

Atomic structure:
Unit cell a=7.010 b=7.010 c=12.585 alpha=90.00 beta=90.00 gamma=90.00
Space group I422 (No. 97)
One atom of each set of equivalent atoms:
Cd 0.000 0.500 0.250 x4
Bi 0.000 0.000 0.000 x2
Cl 0.184 0.299 0.883 x16

The 6 most intense peaks (5 to 70 degrees two-theta), in order of falling intensity:
(hkl)  Position (°2θ)  I_rel
1 1 2  22.84  100.0
1 0 1  14.46  70.3
2 0 4  38.45  57.4
3 1 2  43.27  39.9
2 1 1  29.36  29.6
2 2 0  36.24  29.0